Record 1
Computed powder X-ray diffraction pattern of TmZnInNi for Cu Kα, 1.54184 Å, from DFT lattice parameters and positions (GGA-PBE).
Kinematic intensities with the Lorentz-polarization factor, no thermal factor.

```
TmZnInNi
1.0
2.1005 -4.8068 0.0000
2.1005 4.8068 0.0000
0.0000 0.0000 7.3501
Tm Zn In Ni
2 2 2 2
Direct
0.0682 0.9318 0.5000
0.9318 0.0682 0.0000
0.3516 0.6484 0.7006
0.6484 0.3516 0.2006
0.3606 0.6394 0.3072
0.6394 0.3606 0.8072
0.2186 0.7814 0.0038
0.7814 0.2186 0.5038
```

Most intense lines, 10° ≤ 2θ ≤ 90°, by angle:
2.658 Å, 33.7 deg, I = 100; 2.548 Å, 35.2 deg, I = 22; 2.407 Å, 37.4 deg, I = 74; 2.284 Å, 39.4 deg, I = 28; 2.183 Å, 41.4 deg, I = 29; 2.101 Å, 43.1 deg, I = 34


Record 2
Computed powder X-ray diffraction pattern of ThNpIn for Cu Kα, 1.54184 Å, from DFT lattice parameters and positions (GGA-PBE).
Kinematic intensities with the Lorentz-polarization factor, no thermal factor.

```
ThNpIn
1.0
0.0000 3.6175 3.6175
3.6175 0.0000 3.6175
3.6175 3.6175 0.0000
Th Np In
1 1 1
Direct
0.0000 0.0000 0.0000
0.5000 0.5000 0.5000
0.7500 0.7500 0.7500
```

Most intense lines, 10° ≤ 2θ ≤ 90°, by angle:
3.618 Å, 24.6 deg, I = 42; 2.558 Å, 35.1 deg, I = 100; 1.809 Å, 50.5 deg, I = 18; 1.618 Å, 56.9 deg, I = 18; 1.477 Å, 62.9 deg, I = 38; 1.144 Å, 84.7 deg, I = 17


Record 3
Computed powder X-ray diffraction pattern of In2Os2O5 for Cu Kα, 1.54184 Å, from DFT lattice parameters and positions (GGA-PBE).
Kinematic intensities with the Lorentz-polarization factor, no thermal factor.

```
In2Os2O5
1.0
3.8081 0.0000 0.0000
0.0000 3.8081 0.0000
0.0000 0.0000 8.8455
In Os O
2 2 5
Direct
0.0000 0.0000 0.0000
0.0000 0.0000 0.5000
0.5000 0.5000 0.2467
0.5000 0.5000 0.7533
0.0000 0.5000 0.2428
0.0000 0.5000 0.7572
0.5000 0.0000 0.2428
0.5000 0.0000 0.7572
0.5000 0.5000 0.5000
```

Most intense lines, 10° ≤ 2θ ≤ 90°, by angle:
2.886 Å, 31.0 deg, I = 100; 2.693 Å, 33.3 deg, I = 37; 2.211 Å, 40.8 deg, I = 16; 1.904 Å, 47.8 deg, I = 20; 1.709 Å, 53.6 deg, I = 20; 1.589 Å, 58.0 deg, I = 34


Record 4
Computed powder X-ray diffraction pattern of InPPdO for Cu Kα, 1.54184 Å, from DFT lattice parameters and positions (GGA-PBE).
Kinematic intensities with the Lorentz-polarization factor, no thermal factor.

```
InPPdO
1.0
4.2046 0.0000 0.0000
0.0000 7.2538 0.0000
0.0000 0.0000 4.6715
In P Pd O
2 2 2 2
Direct
0.0000 0.1698 0.0000
0.0000 0.8302 0.5000
0.5000 0.3731 0.9672
0.5000 0.6269 0.4672
0.5000 0.3117 0.4706
0.5000 0.6883 0.9706
0.0000 0.1196 0.4936
0.0000 0.8804 0.9936
```

Most intense lines, 10° ≤ 2θ ≤ 90°, by angle:
3.634 Å, 24.5 deg, I = 70; 2.869 Å, 31.2 deg, I = 100; 2.336 Å, 38.5 deg, I = 28; 2.096 Å, 43.2 deg, I = 34; 1.965 Å, 46.2 deg, I = 23; 1.560 Å, 59.2 deg, I = 25


Record 5
Computed powder X-ray diffraction pattern of TmInPO for Cu Kα, 1.54184 Å, from DFT lattice parameters and positions (GGA-PBE).
Kinematic intensities with the Lorentz-polarization factor, no thermal factor.

```
TmInPO
1.0
4.2960 0.0000 0.0000
0.0000 4.2960 0.0000
0.0000 0.0000 8.6221
Tm In P O
2 2 2 2
Direct
0.2500 0.2500 0.0912
0.7500 0.7500 0.9088
0.2500 0.7500 0.5000
0.7500 0.2500 0.5000
0.2500 0.2500 0.6850
0.7500 0.7500 0.3150
0.2500 0.7500 0.0000
0.7500 0.2500 0.0000
```

Most intense lines, 10° ≤ 2θ ≤ 90°, by angle:
4.311 Å, 20.6 deg, I = 43; 3.043 Å, 29.4 deg, I = 71; 2.865 Å, 31.2 deg, I = 100; 2.389 Å, 37.7 deg, I = 34; 2.148 Å, 42.1 deg, I = 44; 1.756 Å, 52.1 deg, I = 52


Record 6
Computed powder X-ray diffraction pattern of InPd3O4 for Cu Kα, 1.54184 Å, from DFT lattice parameters and positions (GGA-PBE).
Kinematic intensities with the Lorentz-polarization factor, no thermal factor.

```
InPd3O4
1.0
0.0000 4.8030 4.8030
4.8030 0.0000 4.8030
4.8030 4.8030 0.0000
In Pd O
2 6 8
Direct
0.0000 0.0000 0.0000
0.5000 0.5000 0.5000
0.0000 0.0000 0.5000
0.0000 0.5000 0.0000
0.0000 0.5000 0.5000
0.5000 0.0000 0.0000
0.5000 0.0000 0.5000
0.5000 0.5000 0.0000
0.1382 0.1382 0.1382
0.1382 0.1382 0.5855
0.1382 0.5855 0.1382
0.4145 0.8618 0.8618
0.5855 0.1382 0.1382
0.8618 0.4145 0.8618
0.8618 0.8618 0.4145
0.8618 0.8618 0.8618
```

Most intense lines, 10° ≤ 2θ ≤ 90°, by angle:
2.773 Å, 32.3 deg, I = 100; 2.402 Å, 37.4 deg, I = 37; 1.698 Å, 54.0 deg, I = 42; 1.448 Å, 64.3 deg, I = 40; 1.387 Å, 67.6 deg, I = 9; 1.102 Å, 88.8 deg, I = 17


Record 7
Computed powder X-ray diffraction pattern of InRe2O4 for Cu Kα, 1.54184 Å, from DFT lattice parameters and positions (GGA-PBE).
Kinematic intensities with the Lorentz-polarization factor, no thermal factor.

```
InRe2O4
1.0
0.0000 4.6032 4.6032
4.6032 0.0000 4.6032
4.6032 4.6032 0.0000
In Re O
2 4 8
Direct
0.1250 0.1250 0.1250
0.8750 0.8750 0.8750
0.0000 0.5000 0.5000
0.5000 0.0000 0.5000
0.5000 0.5000 0.0000
0.5000 0.5000 0.5000
0.2755 0.2755 0.2755
0.2755 0.2755 0.6735
0.2755 0.6735 0.2755
0.3265 0.7245 0.7245
0.6735 0.2755 0.2755
0.7245 0.3265 0.7245
0.7245 0.7245 0.3265
0.7245 0.7245 0.7245
```

Most intense lines, 10° ≤ 2θ ≤ 90°, by angle:
5.315 Å, 16.7 deg, I = 33; 2.776 Å, 32.2 deg, I = 100; 2.658 Å, 33.7 deg, I = 42; 1.772 Å, 51.6 deg, I = 41; 1.627 Å, 56.5 deg, I = 41; 1.199 Å, 80.1 deg, I = 22


Record 8
Computed powder X-ray diffraction pattern of ZnInSnO4 for Cu Kα, 1.54184 Å, from DFT lattice parameters and positions (GGA-PBE).
Kinematic intensities with the Lorentz-polarization factor, no thermal factor.

```
ZnInSnO4
1.0
6.4139 0.0000 0.0000
0.0000 6.4139 0.0000
0.0000 0.0000 9.0102
Zn In Sn O
4 4 4 16
Direct
0.0000 0.2317 0.0000
0.0000 0.7683 0.5000
0.2317 0.0000 0.7500
0.7683 0.0000 0.2500
0.2484 0.2484 0.3750
0.2484 0.7516 0.1250
0.7516 0.2484 0.6250
0.7516 0.7516 0.8750
0.2378 0.5000 0.7500
0.5000 0.2378 0.0000
0.5000 0.7622 0.5000
0.7622 0.5000 0.2500
0.0240 0.2544 0.7648
0.0240 0.7456 0.7352
0.2544 0.0240 0.9852
0.2544 0.9760 0.5148
0.2578 0.4725 0.9866
0.2578 0.5275 0.5134
0.4725 0.2578 0.7634
0.4725 0.7422 0.7366
0.5275 0.2578 0.2366
0.5275 0.7422 0.2634
0.7422 0.4725 0.0134
0.7422 0.5275 0.4866
0.7456 0.0240 0.0148
0.7456 0.9760 0.4852
0.9760 0.2544 0.2352
0.9760 0.7456 0.2648
```

Most intense lines, 10° ≤ 2θ ≤ 90°, by angle:
3.200 Å, 27.9 deg, I = 52; 2.733 Å, 32.8 deg, I = 100; 2.720 Å, 32.9 deg, I = 49; 2.613 Å, 34.3 deg, I = 23; 1.745 Å, 52.4 deg, I = 31; 1.598 Å, 57.7 deg, I = 40


Record 9
Computed powder X-ray diffraction pattern of In8Os2S for Cu Kα, 1.54184 Å, from DFT lattice parameters and positions (GGA-PBE).
Kinematic intensities with the Lorentz-polarization factor, no thermal factor.

```
In8Os2S
1.0
10.1785 0.0000 0.0000
0.0000 10.1785 0.0000
0.0000 0.0000 10.0245
In Os S
32 8 4
Direct
0.0000 0.0000 0.1750
0.0000 0.0000 0.8250
0.0528 0.3007 0.2995
0.0528 0.3007 0.7005
0.0970 0.9030 0.5000
0.1851 0.8149 0.0000
0.1993 0.5528 0.2005
0.1993 0.5528 0.7995
0.2006 0.2006 0.0000
0.2994 0.7006 0.5000
0.3007 0.0528 0.2995
0.3007 0.0528 0.7005
0.3149 0.3149 0.5000
0.4030 0.4030 0.0000
0.4472 0.8007 0.2005
0.4472 0.8007 0.7995
0.5000 0.5000 0.3250
0.5000 0.5000 0.6750
0.5528 0.1993 0.2005
0.5528 0.1993 0.7995
0.5970 0.5970 0.0000
0.6851 0.6851 0.5000
0.6993 0.9472 0.2995
0.6993 0.9472 0.7005
0.7006 0.2994 0.5000
0.7994 0.7994 0.0000
0.8007 0.4472 0.2005
0.8007 0.4472 0.7995
0.8149 0.1851 0.0000
0.9030 0.0970 0.5000
0.9472 0.6993 0.2995
0.9472 0.6993 0.7005
0.1876 0.8124 0.2646
0.1876 0.8124 0.7354
0.3124 0.3124 0.2354
0.3124 0.3124 0.7646
0.6876 0.6876 0.2354
0.6876 0.6876 0.7646
0.8124 0.1876 0.2646
0.8124 0.1876 0.7354
0.0000 0.5000 0.0000
0.0000 0.5000 0.5000
0.5000 0.0000 0.0000
0.5000 0.0000 0.5000
```

Most intense lines, 10° ≤ 2θ ≤ 90°, by angle:
5.012 Å, 17.7 deg, I = 49; 4.552 Å, 19.5 deg, I = 44; 2.694 Å, 33.3 deg, I = 83; 2.469 Å, 36.4 deg, I = 63; 2.399 Å, 37.5 deg, I = 57; 2.215 Å, 40.7 deg, I = 100


Record 10
Computed powder X-ray diffraction pattern of Tm4TlIn4Os2 for Cu Kα, 1.54184 Å, from DFT lattice parameters and positions (GGA-PBE).
Kinematic intensities with the Lorentz-polarization factor, no thermal factor.

```
Tm4TlIn4Os2
1.0
7.7466 0.0000 0.0000
0.0000 3.5333 0.0000
-0.6789 0.0000 9.6135
Tm Tl In Os
4 1 4 2
Direct
0.1750 0.0000 0.3497
0.2136 0.0000 0.9403
0.7864 0.0000 0.0597
0.8250 0.0000 0.6503
0.5000 0.5000 0.5000
0.1673 0.5000 0.6515
0.4482 0.5000 0.1689
0.5518 0.5000 0.8311
0.8327 0.5000 0.3485
0.0736 0.5000 0.1381
0.9264 0.5000 0.8619
```

Most intense lines, 10° ≤ 2θ ≤ 90°, by angle:
6.241 Å, 14.2 deg, I = 44; 2.708 Å, 33.1 deg, I = 48; 2.636 Å, 34.0 deg, I = 100; 2.607 Å, 34.4 deg, I = 77; 2.374 Å, 37.9 deg, I = 60; 2.340 Å, 38.5 deg, I = 98


Record 11
Computed powder X-ray diffraction pattern of InRe3Pb5 for Cu Kα, 1.54184 Å, from DFT lattice parameters and positions (GGA-PBE).
Kinematic intensities with the Lorentz-polarization factor, no thermal factor.

```
InRe3Pb5
1.0
5.5007 0.0000 0.0000
-2.7503 4.7637 0.0000
0.0000 0.0000 8.7707
In Re Pb
1 3 5
Direct
0.0000 0.0000 0.0000
0.0000 0.5000 0.5000
0.5000 0.0000 0.5000
0.5000 0.5000 0.5000
0.0000 0.0000 0.5000
0.3333 0.6667 0.2049
0.3333 0.6667 0.7951
0.6667 0.3333 0.2049
0.6667 0.3333 0.7951
```

Most intense lines, 10° ≤ 2θ ≤ 90°, by angle:
8.771 Å, 10.1 deg, I = 60; 3.226 Å, 27.6 deg, I = 51; 2.924 Å, 30.6 deg, I = 45; 2.750 Å, 32.6 deg, I = 67; 2.299 Å, 39.2 deg, I = 50; 2.093 Å, 43.2 deg, I = 100


Record 12
Computed powder X-ray diffraction pattern of Zr3InPb5 for Cu Kα, 1.54184 Å, from DFT lattice parameters and positions (GGA-PBE).
Kinematic intensities with the Lorentz-polarization factor, no thermal factor.

```
Zr3InPb5
1.0
6.1537 0.0000 0.0000
-3.0769 5.3293 0.0000
0.0000 0.0000 8.0280
Zr In Pb
3 1 5
Direct
0.0000 0.5000 0.0000
0.5000 0.0000 0.0000
0.5000 0.5000 0.0000
0.0000 0.0000 0.5000
0.0000 0.0000 0.0000
0.3333 0.6667 0.3146
0.3333 0.6667 0.6854
0.6667 0.3333 0.3146
0.6667 0.3333 0.6854
```

Most intense lines, 10° ≤ 2θ ≤ 90°, by angle:
3.206 Å, 27.8 deg, I = 53; 3.077 Å, 29.0 deg, I = 100; 2.529 Å, 35.5 deg, I = 30; 2.220 Å, 40.6 deg, I = 58; 2.019 Å, 44.9 deg, I = 34; 1.538 Å, 60.2 deg, I = 27